Ni5Pt5Rh2: calculated powder X-ray diffraction pattern (a wavelength of 1.5418 Å), based on a cell relaxed with PBE.

Cell and atoms:
```
data_Ni5Pt5Rh2
_cell_length_a 11.5121
_cell_length_b 3.7329
_cell_length_c 8.5477
_cell_angle_alpha 90.00
_cell_angle_beta 116.75
_cell_angle_gamma 90.00
_space_group_name_H-M_alt 'C 1 2/m 1'
_space_group_IT_number 12
loop_
_space_group_symop_operation_xyz
'x,y,z'
'-x,-y,-z'
'-x,y,-z'
'x,-y,z'
'x+1/2,y+1/2,z'
'-x+1/2,-y+1/2,-z'
'-x+1/2,y+1/2,-z'
'x+1/2,-y+1/2,z'
loop_
_atom_site_label
_atom_site_type_symbol
_atom_site_fract_x
_atom_site_fract_y
_atom_site_fract_z
Ni1 Ni 0.0000 0.0000 0.0000
Ni2 Ni 0.0842 0.0000 0.7525
Ni3 Ni 0.1671 0.0000 0.4986
Pt1 Pt 0.0000 0.5000 0.5000
Pt2 Pt 0.0802 0.5000 0.2491
Pt3 Pt 0.2465 0.5000 0.7441
Rh1 Rh 0.1656 0.5000 0.9974
```

Most intense lines, 10° ≤ 2θ ≤ 80°, by angle:
hkl 1 1 0, 2θ = 25.38°, rel. 13
hkl 3 1 -3, 2θ = 41.20°, rel. 100
hkl 6 0 -2, 2θ = 47.38°, rel. 17
hkl 0 0 4, 2θ = 47.66°, rel. 16
hkl 0 2 0, 2θ = 48.79°, rel. 15
hkl 6 2 -2, 2θ = 70.37°, rel. 10

***

NiPt2Rh3: calculated powder X-ray diffraction pattern (a wavelength of 1.5418 Å), based on a cell relaxed with PBE.

Cell and atoms:
```
data_NiPt2Rh3
_cell_length_a 5.3598
_cell_length_b 8.6447
_cell_length_c 3.8588
_cell_angle_alpha 90.00
_cell_angle_beta 90.00
_cell_angle_gamma 90.00
_space_group_name_H-M_alt 'P n n m'
_space_group_IT_number 58
loop_
_space_group_symop_operation_xyz
'x,y,z'
'-x,-y,-z'
'-x,-y,z'
'x,y,-z'
'x+1/2,-y+1/2,-z+1/2'
'-x+1/2,y+1/2,z+1/2'
'-x+1/2,y+1/2,-z+1/2'
'x+1/2,-y+1/2,z+1/2'
loop_
_atom_site_label
_atom_site_type_symbol
_atom_site_fract_x
_atom_site_fract_y
_atom_site_fract_z
Ni1 Ni 0.0000 0.0000 0.0000
Pt1 Pt 0.2405 0.1481 0.5000
Rh1 Rh 0.0000 0.5000 0.5000
Rh2 Rh 0.2451 0.8437 0.5000
```

Most intense lines, 10° ≤ 2θ ≤ 80°, by angle:
hkl 2 0 0, 2θ = 33.44°, rel. 25
hkl 0 3 1, 2θ = 39.01°, rel. 100
hkl 2 1 1, 2θ = 42.37°, rel. 77
hkl 0 0 2, 2θ = 47.10°, rel. 31
hkl 2 3 1, 2θ = 52.30°, rel. 26
hkl 2 4 0, 2θ = 54.55°, rel. 28